Theoretical powder diffractogram of Ti11H7O24 for a wavelength of 1.5418 Å, from DFT lattice parameters and positions (PBE).
No peak broadening, texture or thermal motion is included.

Crystal structure
Cell: 9.815 3.011 14.756 Å, 90.00 90.46 90.00°
Space group Pm (No. 6)
Unique sites:
Ti 0.000 0.000 0.000
Ti 0.003 0.000 0.322
Ti 0.270 0.500 0.640
Ti 0.288 0.500 0.979
Ti 0.295 0.500 0.304
Ti 0.490 0.000 0.804
Ti 0.512 0.000 0.479
Ti 0.516 0.000 0.140
Ti 0.781 0.500 0.162
Ti 0.804 0.500 0.820
Ti 0.810 0.500 0.498
H 0.084 0.000 0.569
H 0.119 0.500 0.456
H 0.154 0.000 0.842
H 0.177 0.500 0.795
H 0.611 0.500 0.340
H 0.618 0.500 0.679
H 0.667 0.000 0.951
O 0.112 0.500 0.045
O 0.115 0.500 0.390
O 0.144 0.500 0.733
O 0.175 0.000 0.908
O 0.186 0.000 0.568
O 0.189 0.000 0.257
O 0.372 0.000 0.042
O 0.378 0.000 0.378
O 0.380 0.000 0.700
O 0.411 0.500 0.872
O 0.427 0.500 0.212
O 0.437 0.500 0.542
O 0.609 0.500 0.081
O 0.610 0.500 0.407
O 0.614 0.500 0.746
O 0.674 0.000 0.884
O 0.682 0.000 0.220
O 0.689 0.000 0.543
O 0.862 0.000 0.762
O 0.864 0.000 0.088
O 0.873 0.000 0.412
O 0.920 0.500 0.923
O 0.930 0.500 0.251
O 0.950 0.500 0.564

Principal peaks in the range 10 to 90 degrees two-theta, by angle:
Position (°2θ)	I (rel.)	index
20.13	100.0	1 0 -3
20.26	85.1	1 0 3
32.76	37.5	3 0 -3
33.00	40.4	3 0 3
34.96	40.4	2 1 0
36.15	55.9	1 1 3
39.54	33.8	2 1 -3
39.68	24.2	2 1 3
51.35	34.7	2 1 -6
51.58	28.4	2 1 6

***

Theoretical powder diffractogram of K3Rh for a wavelength of 1.5418 Å, from DFT lattice parameters and positions (PBE).
No peak broadening, texture or thermal motion is included.

Crystal structure
Cell: 5.8022 5.8022 6.2784 Å, 90.00 90.00 120.00°
Space group P-3m1 (No. 164)
Unique sites:
K 0.0000 0.0000 0.0000
K 0.3333 0.6667 0.3929
Rh 0.0000 0.0000 0.5000

Principal peaks in the range 10 to 90 degrees two-theta, by angle:
Position (°2θ)	I (rel.)	index
14.11	71.3	0 0 1
17.65	85.2	1 0 0
22.67	25.2	1 0 1
28.43	21.6	0 0 2
30.82	100.0	1 1 0
33.66	70.8	1 0 2
34.04	48.2	1 1 1
42.43	41.3	1 1 2
46.28	27.5	0 2 2
56.64	29.2	2 1 2

***

Theoretical powder diffractogram of Ag2O for a wavelength of 1.5418 Å, from DFT lattice parameters and positions (PBE).
No peak broadening, texture or thermal motion is included.

Crystal structure
Cell: 4.239 5.174 8.525 Å, 79.10 78.29 67.67°
Space group P1 (No. 1)
Unique sites:
Ag 0.000 0.000 0.000
Ag 0.114 0.059 0.649
Ag 0.259 0.074 0.305
Ag 0.503 0.412 0.518
Ag 0.625 0.559 0.146
Ag 0.807 0.566 0.779
O 0.310 0.607 0.727
O 0.547 0.919 0.977
O 0.700 0.193 0.316

Principal peaks in the range 10 to 90 degrees two-theta, by angle:
Position (°2θ)	I (rel.)	index
23.88	61.9	1 0 1
23.91	76.8	1 1 0
34.66	68.0	1 -1 0
35.53	100.0	0 1 3
35.89	52.3	1 2 1
36.04	63.2	1 1 -2
37.14	65.3	1 0 3
37.89	49.6	0 2 0
39.74	41.5	0 1 -3
42.72	62.8	2 1 1

***

Theoretical powder diffractogram of Ba2EuMgSbO6 for a wavelength of 1.5418 Å, from DFT lattice parameters and positions (PBE).
No peak broadening, texture or thermal motion is included.

Crystal structure
Cell: 6.230 6.262 9.899 Å, 90.00 90.00 90.00°
Space group Immm (No. 71)
Unique sites:
Ba 0.000 0.000 0.191
Eu 0.000 0.500 0.500
Mg 0.000 0.000 0.500
Sb 0.000 0.500 0.000
O 0.000 0.500 0.235
O 0.240 0.226 0.500

Principal peaks in the range 10 to 90 degrees two-theta, by angle:
Position (°2θ)	I (rel.)	index
27.06	100.0	1 1 2
28.51	37.4	0 2 0
28.66	36.6	2 0 0
30.65	32.5	1 0 3
40.86	42.9	2 2 0
42.38	24.0	1 2 3
49.61	19.6	1 3 2
49.79	19.4	3 1 2
55.77	17.6	0 0 6
80.62	12.6	1 1 8

***

Theoretical powder diffractogram of NaCdCuSe2 for a wavelength of 1.5418 Å, from DFT lattice parameters and positions (PBE).
No peak broadening, texture or thermal motion is included.

Crystal structure
Cell: 8.030 3.744 17.599 Å, 90.00 90.00 90.00°
Space group Pnma (No. 62)
Unique sites:
Na 0.144 0.250 0.076
Cd 0.118 0.250 0.758
Cu 0.132 0.250 0.393
Se 0.077 0.250 0.616
Se 0.152 0.250 0.901

Principal peaks in the range 10 to 90 degrees two-theta, by angle:
Position (°2θ)	I (rel.)	index
10.05	15.6	0 0 2
14.94	24.3	1 0 2
22.72	45.9	2 0 1
24.30	45.9	0 1 1
30.48	36.8	0 0 6
32.70	100.0	2 1 0
45.30	43.8	2 1 6
48.63	17.7	0 2 0
53.42	17.5	2 1 8
58.46	15.2	0 2 6

***

Theoretical powder diffractogram of Zr5NiSb3 for a wavelength of 1.5418 Å, from DFT lattice parameters and positions (PBE).
No peak broadening, texture or thermal motion is included.

Crystal structure
Cell: 8.5816 8.5816 5.7939 Å, 90.00 90.00 120.00°
Space group P6_3/mcm (No. 193)
Unique sites:
Zr 0.0000 0.2578 0.2500
Zr 0.3333 0.6667 0.0000
Ni 0.0000 0.0000 0.0000
Sb 0.0000 0.3874 0.7500

Principal peaks in the range 10 to 90 degrees two-theta, by angle:
Position (°2θ)	I (rel.)	index
30.87	16.0	0 0 2
35.52	88.4	2 1 1
36.26	78.2	3 0 0
37.46	100.0	1 1 2
46.78	21.8	3 1 1
53.12	23.6	2 2 2
56.24	10.9	3 2 1
57.95	20.8	2 1 3
68.78	10.9	4 2 1
76.13	16.9	3 0 4

***

Theoretical powder diffractogram of Sr2TiSbO6 for a wavelength of 1.5418 Å, from DFT lattice parameters and positions (PBE).
No peak broadening, texture or thermal motion is included.

Crystal structure
Cell: 8.149 8.149 8.149 Å, 90.00 90.00 90.00°
Space group Fm-3m (No. 225)
Unique sites:
Sr 0.250 0.250 0.250
Ti 0.000 0.000 0.000
Sb 0.000 0.000 0.500
O 0.000 0.000 0.242

Principal peaks in the range 10 to 90 degrees two-theta, by angle:
Position (°2θ)	I (rel.)	index
18.86	10.4	1 1 1
31.04	100.0	2 2 0
36.57	7.5	3 1 1
38.26	4.4	2 2 2
44.47	35.9	4 0 0
48.71	3.9	3 3 1
55.22	39.0	4 2 2
64.71	21.2	4 4 0
73.50	17.0	6 2 0
81.91	7.0	4 4 4

***

Theoretical powder diffractogram of HoLuRh2 for a wavelength of 1.5418 Å, from DFT lattice parameters and positions (PBE).
No peak broadening, texture or thermal motion is included.

Crystal structure
Cell: 6.781 6.781 6.781 Å, 90.00 90.00 90.00°
Space group Fm-3m (No. 225)
Unique sites:
Ho 0.000 0.000 0.000
Lu 0.000 0.000 0.500
Rh 0.250 0.250 0.250

Principal peaks in the range 10 to 90 degrees two-theta, by angle:
Position (°2θ)	I (rel.)	index
26.29	6.3	2 0 0
37.52	100.0	2 2 0
46.39	2.0	2 2 2
54.10	17.3	4 0 0
61.12	2.7	4 2 0
67.70	35.2	4 2 2
80.06	11.0	4 4 0
86.03	1.4	6 0 0

***

Theoretical powder diffractogram of Sb2TeSe2 for a wavelength of 1.5418 Å, from DFT lattice parameters and positions (PBE).
No peak broadening, texture or thermal motion is included.

Crystal structure
Cell: 4.1586 4.1586 30.7175 Å, 90.00 90.00 120.00°
Space group R-3m (No. 166, hexagonal axes)
Unique sites:
Sb 0.0000 0.0000 0.0992
Te 0.0000 0.0000 0.5000
Se 0.0000 0.0000 0.2833

Principal peaks in the range 10 to 90 degrees two-theta, by angle:
Position (°2θ)	I (rel.)	index
17.32	7.2	0 0 6
28.73	100.0	0 1 5
34.13	7.4	0 1 8
38.52	35.3	1 0 10
43.52	34.6	1 1 0
52.99	17.7	2 0 5
59.50	9.7	0 2 10
63.79	10.5	1 1 15
70.91	14.6	1 2 5
76.55	9.2	2 1 10